For Na3Cu5O4, a cell relaxed with GGA-PBE gives the calculated X-ray powder pattern in this record (λ = 1.5418 Å (Cu Kα)).
Intensities are scaled so that the largest is 100.

Structure:
Lattice parameters (Å, degrees): 8.5011 7.0269 13.3402 90.00 106.81 90.00
Fractional positions:
Na (0.0897, 0.1415, 0.0819)
Na (0.0897, 0.3585, 0.5819)
Na (0.2614, 0.7490, 0.0732)
Na (0.2614, 0.7510, 0.5732)
Na (0.3370, 0.0792, 0.9075)
Na (0.3370, 0.4208, 0.4075)
Na (0.6630, 0.5792, 0.5925)
Na (0.6630, 0.9208, 0.0925)
Na (0.7386, 0.2490, 0.4268)
Na (0.7386, 0.2510, 0.9268)
Na (0.9103, 0.6415, 0.4181)
Na (0.9103, 0.8585, 0.9181)
Cu (0.0496, 0.0827, 0.3986)
Cu (0.0496, 0.4173, 0.8986)
Cu (0.0600, 0.6645, 0.7453)
Cu (0.0600, 0.8355, 0.2453)
Cu (0.3141, 0.5420, 0.8856)
Cu (0.3141, 0.9580, 0.3856)
Cu (0.4181, 0.1873, 0.6013)
Cu (0.4181, 0.3127, 0.1013)
Cu (0.4421, 0.0507, 0.2325)
Cu (0.4421, 0.4493, 0.7325)
Cu (0.5579, 0.5507, 0.2675)
Cu (0.5579, 0.9493, 0.7675)
Cu (0.5819, 0.6873, 0.8987)
Cu (0.5819, 0.8127, 0.3987)
Cu (0.6859, 0.0420, 0.6144)
Cu (0.6859, 0.4580, 0.1144)
Cu (0.9400, 0.1645, 0.7547)
Cu (0.9400, 0.3355, 0.2547)
Cu (0.9504, 0.5827, 0.1014)
Cu (0.9504, 0.9173, 0.6014)
O (0.0061, 0.6653, 0.6013)
O (0.0061, 0.8347, 0.1013)
O (0.1211, 0.6679, 0.8925)
O (0.1211, 0.8321, 0.3925)
O (0.3756, 0.0541, 0.0874)
O (0.3756, 0.4459, 0.5874)
O (0.4892, 0.5657, 0.1228)
O (0.4892, 0.9343, 0.6228)
O (0.5108, 0.0657, 0.3772)
O (0.5108, 0.4343, 0.8772)
O (0.6244, 0.5541, 0.4126)
O (0.6244, 0.9459, 0.9126)
O (0.8789, 0.1679, 0.6075)
O (0.8789, 0.3321, 0.1075)
O (0.9939, 0.1653, 0.8987)
O (0.9939, 0.3347, 0.3987)

Most intense lines, 10° ≤ 2θ ≤ 90°, by angle:
| 2θ (°) | I/Imax | hkl |
| --- | --- | --- |
| 14.39 | 94 | 0 1 1 |
| 16.80 | 66 | 1 1 -1 |
| 19.25 | 69 | 1 1 1 |
| 19.60 | 75 | 1 1 -2 |
| 21.84 | 78 | 2 0 0 |
| 22.25 | 58 | 2 0 -2 |
| 32.50 | 82 | 1 2 2 |
| 32.86 | 96 | 1 2 -3 |
| 36.82 | 62 | 1 2 3 |
| 42.50 | 100 | 0 0 6 |